Simulated powder X-ray diffraction pattern of ZrTlSeO5 for λ = 1.5418 Å (Cu Kα), from a structure optimized by DFT (PBE).
Intensities are scaled so that the largest is 100.

Most intense lines, 10 to 80 degrees two-theta, low angle first:
2θ 16.1, 5.498 Å, I = 50.7
2θ 19.1, 4.645 Å, I = 28.1
2θ 23.6, 3.776 Å, I = 78.4
2θ 26.1, 3.410 Å, I = 30.9
2θ 27.4, 3.258 Å, I = 100.0
2θ 31.6, 2.833 Å, I = 78.5
2θ 32.0, 2.797 Å, I = 95.9
2θ 32.6, 2.749 Å, I = 61.1
2θ 43.8, 2.066 Å, I = 37.0
2θ 50.4, 1.810 Å, I = 28.2

Atomic structure:
```
ZrTlSeO5
1.0
3.7710 -4.6450 0.0000
3.7710 4.6450 0.0000
-3.3759 0.0000 7.1517
Zr Tl Se O
2 2 2 10
Cartesian
1.8855 2.3225 0.0000 Zr
0.1976 -2.3225 3.5759 Zr
1.2391 4.1641 5.3638 Tl
2.9270 -4.1641 1.7879 Tl
1.2391 0.4094 5.3638 Se
2.9270 -0.4094 1.7879 Se
1.4113 0.2573 0.4696 O
2.9270 2.5353 1.7879 O
-0.2767 -0.2573 4.0455 O
0.3779 1.5505 6.3288 O
2.1003 1.5505 4.3988 O
2.0659 -1.5505 2.7530 O
3.7882 -1.5505 0.8229 O
4.4428 0.2573 3.1062 O
1.2391 -2.5353 5.3638 O
2.7549 -0.2573 6.6821 O
```